Entry 1:
Simulated X-ray powder pattern
Compound: NdGdSiPd
Radiation: Cu Kα, 1.54184 Å
Structure: a GGA-PBE-relaxed structure

Cell and atoms:
```
data_NdGdSiPd
_chemical_formula_sum 'Nd4 Gd4 Si4 Pd4'
_space_group_name_H-M_alt 'F -4 3 m'
_space_group_IT_number 216
_space_group_name_Hall 'F -4 2 3'
_cell_length_a 7.192
_cell_length_b 7.192
_cell_length_c 7.192
_cell_angle_alpha 90.00
_cell_angle_beta 90.00
_cell_angle_gamma 90.00
loop_
_atom_site_label
_atom_site_fract_x
_atom_site_fract_y
_atom_site_fract_z
_atom_site_occupancy
Nd1 0.000 0.000 0.000 1
Gd1 0.000 0.000 0.500 1
Si1 0.250 0.250 0.750 1
Pd1 0.250 0.250 0.250 1
```

Largest 10 diffraction maxima, low angle first, 10 to 90 degrees two-theta:
hkl 1 1 1, 21.40°, I = 8.0
hkl 2 0 0, 24.76°, I = 16.8
hkl 2 2 0, 35.30°, I = 100.0
hkl 3 1 1, 41.65°, I = 4.3
hkl 2 2 2, 43.59°, I = 5.2
hkl 4 0 0, 50.78°, I = 17.7
hkl 4 2 0, 57.29°, I = 7.1
hkl 4 2 2, 63.35°, I = 36.1
hkl 4 4 0, 74.65°, I = 11.1
hkl 6 2 0, 85.36°, I = 16.0

***

Entry 2:
Simulated X-ray powder pattern
Compound: Al4Si23
Radiation: Cu Kα, 1.54184 Å
Structure: a GGA-PBE-relaxed structure

Cell and atoms:
```
data_Al4Si23
_chemical_formula_sum 'Al8 Si46'
_space_group_name_H-M_alt 'P m -3 n'
_space_group_IT_number 223
_space_group_name_Hall '-P 4n 2 3'
_cell_length_a 10.159
_cell_length_b 10.159
_cell_length_c 10.159
_cell_angle_alpha 90.00
_cell_angle_beta 90.00
_cell_angle_gamma 90.00
loop_
_atom_site_label
_atom_site_fract_x
_atom_site_fract_y
_atom_site_fract_z
_atom_site_occupancy
Al1 0.000 0.000 0.000 1
Al2 0.000 0.250 0.500 1
Si1 0.000 0.308 0.117 1
Si2 0.000 0.500 0.250 1
Si3 0.184 0.184 0.184 1
```

Largest 10 diffraction maxima, low angle first, 10 to 90 degrees two-theta:
hkl 2 1 0, 19.54°, I = 13.9
hkl 2 2 2, 30.48°, I = 32.6
hkl 3 2 0, 31.76°, I = 35.2
hkl 3 2 1, 32.99°, I = 100.0
hkl 4 1 0, 36.47°, I = 20.8
hkl 3 3 0, 37.56°, I = 11.3
hkl 5 3 0, 52.53°, I = 51.1
hkl 5 3 1, 53.35°, I = 17.3
hkl 6 0 0, 54.17°, I = 21.2
hkl 5 3 2, 55.78°, I = 45.5

***

Entry 3:
Simulated X-ray powder pattern
Compound: Nd5Al
Radiation: Cu Kα, 1.54184 Å
Structure: a GGA-PBE-relaxed structure

Cell and atoms:
```
data_Nd5Al
_chemical_formula_sum 'Nd10 Al2'
_space_group_name_H-M_alt 'C m m m'
_space_group_IT_number 65
_space_group_name_Hall '-C 2 2'
_cell_length_a 4.936
_cell_length_b 15.516
_cell_length_c 4.930
_cell_angle_alpha 90.00
_cell_angle_beta 90.00
_cell_angle_gamma 90.00
loop_
_atom_site_label
_atom_site_fract_x
_atom_site_fract_y
_atom_site_fract_z
_atom_site_occupancy
Nd1 0.000 0.000 0.000 1
Nd2 0.000 0.160 0.500 1
Nd3 0.000 0.342 0.000 1
Al1 0.000 0.500 0.500 1
```

Largest 10 diffraction maxima, low angle first, 10 to 90 degrees two-theta:
hkl 1 3 1, 30.92°, I = 100.0
hkl 0 6 0, 34.69°, I = 17.6
hkl 2 0 0, 36.43°, I = 32.7
hkl 2 6 0, 51.18°, I = 23.3
hkl 2 0 2, 52.47°, I = 11.5
hkl 1 9 1, 59.84°, I = 13.5
hkl 3 3 1, 62.15°, I = 27.1
hkl 2 6 2, 64.44°, I = 11.6
hkl 3 9 1, 83.59°, I = 10.5
hkl 3 3 3, 85.62°, I = 5.6